Structure and computed X-ray diffraction stick pattern of SmMn3Cr4O12 (a DFT-relaxed cell (GGA+U, Alexandria); CuKα).
Peak positions follow from Bragg's law for the DFT cell and can differ from measured ones.

Crystal structure
```
20
Lattice="-3.7501 3.7501 3.7501 3.7501 -3.7501 3.7501 3.7501 3.7501 -3.7501" Properties=species:S:1:pos:R:3 pbc="T T T"
Sm 0.0000 0.0000 0.0000
Mn 3.7501 0.0000 0.0000
Mn 0.0000 3.7501 0.0000
Mn 0.0000 0.0000 3.7501
Cr 1.8751 1.8751 -1.8751
Cr 1.8751 -1.8751 1.8751
Cr -1.8751 1.8751 1.8751
Cr 1.8751 1.8751 1.8751
O 3.7501 -1.4563 2.4445
O 2.2938 1.3057 0.0000
O 5.2065 1.3057 0.0000
O 2.4445 3.7501 -1.4563
O 1.3057 0.0000 2.2938
O 0.0000 2.2938 1.3057
O 3.7501 1.4563 2.4445
O 2.4445 3.7501 1.4563
O 1.3057 0.0000 5.2065
O -1.4563 2.4445 3.7501
O 1.4563 2.4445 3.7501
O 0.0000 5.2065 1.3057
```

Top 10 peaks for 2θ from 10° to 90°, low angle first:
- 2θ 16.7, I 19
- 2θ 29.2, I 7
- 2θ 33.8, I 100
- 2θ 37.9, I 14
- 2θ 41.7, I 6
- 2θ 45.2, I 14
- 2θ 48.6, I 26
- 2θ 60.5, I 48
- 2θ 71.1, I 12
- 2θ 81.1, I 16